# 1
# Mg2V3O8
Calculated powder X-ray diffraction pattern, Cu Kα, 1.54184 Å. Input: a DFT-relaxed cell (PBE+U, the Materials Project).
Kinematic intensities with the Lorentz-polarization factor, no thermal factor.

Peak list (8 most intense, 5 to 70 degrees two-theta, by intensity)
d = 4.758 Å, I 100.0
d = 2.474 Å, I 56.8
d = 1.528 Å, I 48.1
d = 1.993 Å, I 46.3
d = 2.512 Å, I 46.2
d = 2.256 Å, I 43.2
d = 1.479 Å, I 43.0
d = 3.487 Å, I 40.6

Atomic structure:
```
Mg2V3O8
1.0
5.9139 0.0000 0.0000
-2.9565 5.1268 0.0000
-0.0075 -0.0103 9.5166
Mg V O
4 6 16
Cartesian
0.0000 0.0000 0.0000
-0.0023 -0.0038 3.7957
-0.0050 3.4129 4.7636
-0.0065 3.4166 8.5629
1.5100 0.8662 6.4433
1.5063 2.5356 1.6875
2.9658 0.0359 1.6902
2.9489 3.3805 6.4490
4.4031 0.8753 6.4420
4.4006 2.5524 1.6842
-0.0042 -0.0006 7.5155
-1.6843 4.3042 5.2977
0.0703 1.5127 5.2951
-0.0714 1.9013 0.5403
-1.2784 4.2393 0.5418
-0.0002 3.4176 2.7600
1.4634 0.9396 2.6208
2.8663 0.0422 7.3909
1.5432 2.6253 7.3778
1.3500 4.1160 0.5430
2.9562 1.7066 0.6499
2.9514 1.7107 5.4130
1.6008 4.4342 5.2975
4.3666 0.7991 2.6209
3.0389 3.3831 2.6206
4.4463 2.4737 7.3785
```

***

# 2
# Mg3V2O6
Calculated powder X-ray diffraction pattern, Cu Kα, 1.54184 Å. Input: a DFT-relaxed cell (PBE+U, the Materials Project).
Kinematic intensities with the Lorentz-polarization factor, no thermal factor.

Peak list (8 most intense, 5 to 70 degrees two-theta, by intensity)
d = 2.164 Å, I 100.0
d = 2.152 Å, I 97.1
d = 2.140 Å, I 96.4
d = 4.889 Å, I 87.3
d = 1.526 Å, I 63.6
d = 5.053 Å, I 60.6
d = 2.642 Å, I 43.6
d = 2.585 Å, I 41.5

Atomic structure:
```
Mg3V2O6
1.0
5.9429 0.0000 0.0000
-2.9428 5.3205 0.0000
-0.1552 -0.3615 15.1484
Mg V O
12 8 24
Cartesian
0.0000 0.0000 0.0000
-1.4813 2.7809 0.4755
-0.0496 1.6321 5.1882
1.3690 0.2519 8.1918
-0.1226 3.2329 10.2233
1.3774 0.5946 12.0561
1.3905 2.8061 7.6849
1.3960 3.8048 2.8907
2.8822 1.6398 5.1834
1.4428 4.4966 5.5519
4.4461 1.1967 2.7318
4.2829 2.2143 13.0241
-1.5407 4.2335 5.1300
1.4590 0.6855 2.6134
1.5004 2.6158 0.0324
2.7933 -0.3422 15.1481
1.4057 4.1081 12.6739
4.3185 0.5365 10.0948
2.8376 3.2092 10.1996
4.3638 2.3507 7.6273
-1.6451 3.8501 8.9866
-0.1416 1.5473 8.8107
0.0288 1.6772 1.3792
-1.4135 4.6083 1.2013
1.4114 0.6570 6.2366
-0.0785 3.3856 6.3451
-0.1192 3.1474 14.0571
1.3540 0.5807 14.0985
1.4139 2.2033 3.9084
0.0433 5.1695 3.8003
1.3911 2.5101 11.4816
0.0556 4.9930 11.3903
1.4000 4.1094 9.1474
2.8169 1.5691 8.8219
2.9330 1.7089 1.3297
1.4679 4.4287 1.0801
4.2743 0.4560 14.0217
2.9049 3.3449 6.3945
2.8448 3.1468 14.0879
4.3847 0.9193 6.3139
2.7485 4.9370 11.4452
2.8508 5.1300 3.8647
4.3183 2.2482 11.1346
4.3882 2.5706 4.0992
```

***

# 3
# MgV2O6
Calculated powder X-ray diffraction pattern, Cu Kα, 1.54184 Å. Input: a DFT-relaxed cell (PBE+U, the Materials Project).
Kinematic intensities with the Lorentz-polarization factor, no thermal factor.

Peak list (8 most intense, 5 to 70 degrees two-theta, by intensity)
d = 3.561 Å, I 100.0
d = 2.656 Å, I 76.7
d = 3.988 Å, I 48.7
d = 1.781 Å, I 29.2
d = 4.158 Å, I 27.8
d = 1.993 Å, I 25.8
d = 1.626 Å, I 21.7
d = 3.169 Å, I 20.8

Atomic structure:
```
MgV2O6
1.0
5.2170 0.0000 0.0000
0.0000 4.8726 0.0000
-0.0082 0.0000 7.9763
Mg V O
2 4 12
Cartesian
0.9844 0.0000 1.9816
4.2244 2.4363 5.9947
1.3562 2.8117 7.5857
1.3664 2.5477 3.8270
3.8424 0.1114 4.1493
3.8527 0.3754 0.3906
0.0992 1.4795 4.5106
0.1689 1.4917 7.5634
1.1608 3.3569 6.0183
1.4042 1.9891 2.2206
2.3116 4.2870 0.5201
2.3519 4.2484 3.4596
2.8569 1.8121 4.5167
2.8972 1.8507 7.4562
3.8047 4.4254 5.7557
4.0480 0.9206 1.9580
5.0399 3.9280 0.4129
5.1097 3.9158 3.4657
```

***

# 4
# MgV6O15
Calculated powder X-ray diffraction pattern, Cu Kα, 1.54184 Å. Input: a DFT-relaxed cell (PBE+U, the Materials Project).
Kinematic intensities with the Lorentz-polarization factor, no thermal factor.

Peak list (8 most intense, 5 to 70 degrees two-theta, by intensity)
d = 7.431 Å, I 100.0
d = 9.307 Å, I 59.9
d = 3.035 Å, I 50.7
d = 3.453 Å, I 44.3
d = 3.430 Å, I 40.9
d = 3.118 Å, I 38.3
d = 1.832 Å, I 25.8
d = 2.175 Å, I 23.2

Atomic structure:
```
MgV6O15
1.0
3.6714 0.0000 0.0000
1.4844 8.2033 0.0000
1.2430 3.8500 9.3070
Mg V O
1 6 15
Cartesian
0.0000 0.0000 0.0000
1.8362 5.5877 1.5416
1.9158 2.1962 1.5726
3.3748 8.1400 7.9958
3.7164 4.0908 3.6996
5.2959 10.1341 6.4757
5.2487 8.7307 3.4296
1.6132 7.5039 2.1592
3.3262 10.1498 9.2976
1.8871 3.9327 3.1437
1.9931 3.8305 0.4604
3.4103 9.5890 6.5132
3.4124 9.2466 3.1883
1.8541 0.9500 0.3390
3.3915 6.6838 7.3231
3.6908 5.1536 4.8924
3.7240 5.3043 2.1297
3.9043 3.2984 7.3981
3.7430 2.4784 4.7414
5.2123 8.6728 7.7934
3.7467 2.2755 2.0652
5.2659 7.9794 4.8747
```

***

# 5
# Mg2V3O8
Calculated powder X-ray diffraction pattern, Cu Kα, 1.54184 Å. Input: a DFT-relaxed cell (PBE+U, the Materials Project).
Kinematic intensities with the Lorentz-polarization factor, no thermal factor.

Peak list (8 most intense, 5 to 70 degrees two-theta, by intensity)
d = 4.761 Å, I 100.0
d = 2.470 Å, I 54.2
d = 1.528 Å, I 47.0
d = 2.510 Å, I 46.2
d = 1.992 Å, I 44.9
d = 2.253 Å, I 42.8
d = 1.477 Å, I 42.6
d = 3.485 Å, I 40.2

Atomic structure:
```
Mg2V3O8
1.0
5.9073 0.0000 0.0000
-2.9537 5.1159 0.0000
0.0000 0.0000 9.5217
Mg V O
4 6 16
Cartesian
0.0000 3.4106 0.0000
0.0000 3.4106 3.8173
2.9537 1.7053 4.7608
2.9537 1.7053 8.5781
0.0000 1.6633 6.8858
-1.5132 4.2843 6.8858
1.4405 0.8316 2.1250
1.5132 4.2843 6.8858
4.4669 0.8316 2.1250
2.9537 3.4526 2.1250
0.0000 0.0000 3.1763
0.0000 0.0000 7.9371
-1.3177 2.6498 8.0281
0.0000 1.6858 1.2105
-1.4937 4.2730 1.2105
1.4600 0.8429 5.9714
0.0000 3.4106 5.8180
1.3177 2.6498 8.0281
0.0000 4.9321 8.0281
2.9537 0.1838 3.2672
1.6360 2.4661 3.2672
2.9537 1.7053 1.0572
1.4937 4.2730 1.2105
4.4474 0.8429 5.9714
2.9537 3.4301 5.9714
4.2714 2.4661 3.2672
```

***

# 6
# Mg2V3O8
Calculated powder X-ray diffraction pattern, Cu Kα, 1.54184 Å. Input: a DFT-relaxed cell (PBE+U, the Materials Project).
Kinematic intensities with the Lorentz-polarization factor, no thermal factor.

Peak list (8 most intense, 5 to 70 degrees two-theta, by intensity)
d = 4.886 Å, I 100.0
d = 2.430 Å, I 65.7
d = 1.949 Å, I 61.6
d = 3.129 Å, I 46.5
d = 1.601 Å, I 32.4
d = 2.857 Å, I 32.2
d = 1.429 Å, I 28.2
d = 1.834 Å, I 27.6

Atomic structure:
```
Mg2V3O8
1.0
4.8812 0.0000 0.0000
0.0000 5.9968 0.0000
-1.1862 0.0000 9.7711
Mg V O
4 6 16
Cartesian
0.0469 0.0000 2.1770
1.7802 2.9984 2.7065
1.9148 2.9984 7.0646
3.6480 0.0000 7.5941
-0.5931 1.6048 4.8856
0.0000 2.9984 0.0000
-0.5931 4.3920 4.8856
1.8475 0.0000 4.8856
2.4406 1.4099 0.0000
2.4406 4.5870 0.0000
0.2061 2.9984 5.9014
0.2840 0.0000 5.9234
0.9009 1.6589 1.1184
0.9009 4.3379 1.1184
0.8951 1.3450 3.7336
0.8951 4.6519 3.7336
0.4563 2.9984 8.7144
0.4902 0.0000 8.7331
3.2048 0.0000 1.0381
3.2387 2.9984 1.0567
2.7999 1.3450 6.0375
2.7999 4.6519 6.0375
2.7941 1.6589 8.6528
2.7941 4.3379 8.6528
3.4110 0.0000 3.8477
3.4889 2.9984 3.8697
```

***

# 7
# Mg3V2O7
Calculated powder X-ray diffraction pattern, Cu Kα, 1.54184 Å. Input: a DFT-relaxed cell (PBE+U, the Materials Project).
Kinematic intensities with the Lorentz-polarization factor, no thermal factor.

Peak list (8 most intense, 5 to 70 degrees two-theta, by intensity)
d = 2.563 Å, I 100.0
d = 1.491 Å, I 42.6
d = 1.862 Å, I 39.1
d = 3.645 Å, I 38.5
d = 2.676 Å, I 38.1
d = 4.415 Å, I 34.2
d = 2.594 Å, I 30.5
d = 1.522 Å, I 19.8

Atomic structure:
```
Mg3V2O7
1.0
8.8301 -2.5935 0.0000
8.8301 2.5935 0.0000
0.0000 0.0000 5.3525
Mg V O
6 4 14
Cartesian
5.4289 1.3634 3.3038
8.8301 1.3132 2.6763
12.2313 1.3634 3.3038
5.4289 -1.3634 0.6275
8.8301 -1.3132 0.0000
12.2313 -1.3634 0.6275
6.9800 1.3013 0.2888
10.6802 1.3013 0.2888
6.9800 -1.3013 2.9651
10.6802 -1.3013 2.9651
1.3875 0.3771 1.2412
3.6232 0.6977 2.6553
1.3875 -0.3771 3.9175
6.5184 0.3354 1.9217
3.6232 -0.6977 5.3316
8.8301 0.6843 0.5893
6.5184 -0.3354 4.5980
11.1418 0.3354 1.9217
8.8301 -0.6843 3.2656
14.0371 0.6977 2.6553
11.1418 -0.3354 4.5980
16.2728 0.3771 1.2412
14.0371 -0.6977 5.3316
16.2728 -0.3771 3.9175
```

***

What did the first record say?
# Mg2V3O8
Calculated powder X-ray diffraction pattern, Cu Kα, 1.54184 Å. Input: a DFT-relaxed cell (PBE+U, the Materials Project).
Kinematic intensities with the Lorentz-polarization factor, no thermal factor.

Peak list (8 most intense, 5 to 70 degrees two-theta, by intensity)
d = 4.758 Å, I 100.0
d = 2.474 Å, I 56.8
d = 1.528 Å, I 48.1
d = 1.993 Å, I 46.3
d = 2.512 Å, I 46.2
d = 2.256 Å, I 43.2
d = 1.479 Å, I 43.0
d = 3.487 Å, I 40.6

Atomic structure:
```
Mg2V3O8
1.0
5.9139 0.0000 0.0000
-2.9565 5.1268 0.0000
-0.0075 -0.0103 9.5166
Mg V O
4 6 16
Cartesian
0.0000 0.0000 0.0000
-0.0023 -0.0038 3.7957
-0.0050 3.4129 4.7636
-0.0065 3.4166 8.5629
1.5100 0.8662 6.4433
1.5063 2.5356 1.6875
2.9658 0.0359 1.6902
2.9489 3.3805 6.4490
4.4031 0.8753 6.4420
4.4006 2.5524 1.6842
-0.0042 -0.0006 7.5155
-1.6843 4.3042 5.2977
0.0703 1.5127 5.2951
-0.0714 1.9013 0.5403
-1.2784 4.2393 0.5418
-0.0002 3.4176 2.7600
1.4634 0.9396 2.6208
2.8663 0.0422 7.3909
1.5432 2.6253 7.3778
1.3500 4.1160 0.5430
2.9562 1.7066 0.6499
2.9514 1.7107 5.4130
1.6008 4.4342 5.2975
4.3666 0.7991 2.6209
3.0389 3.3831 2.6206
4.4463 2.4737 7.3785
```